Sm2Er2Tm2Th: calculated powder XRD pattern (CuKα), based on a DFT-relaxed cell (PBE, Alexandria).

Crystal structure
```
data_Sm2Er2Tm2Th
_chemical_formula_sum 'Sm4 Er4 Tm4 Th2'
_symmetry_space_group_name_H-M 'C 1 2/m 1'
_symmetry_Int_Tables_number 12
_symmetry_space_group_name_Hall '-C 2y'
_cell_length_a 17.366
_cell_length_b 3.499
_cell_length_c 8.367
_cell_angle_alpha 90.00
_cell_angle_beta 116.42
_cell_angle_gamma 90.00
loop_
_atom_site_label
_atom_site_type_symbol
_atom_site_fract_x
_atom_site_fract_y
_atom_site_fract_z
_atom_site_occupancy
Sm1 Sm 0.070 0.000 0.398 1
Er1 Er 0.214 0.500 0.294 1
Tm1 Tm 0.147 0.000 0.895 1
Th1 Th 0.000 0.500 0.000 1
```

Principal peaks in the range 2θ from 10° to 90°, sorted by position:
2theta, I/Imax
27.64, 76
30.76, 92
31.09, 91
32.88, 66
34.06, 100
35.88, 86
38.73, 39
63.20, 47

In2Pt3Au: calculated powder XRD pattern (CuKα), based on a DFT-relaxed cell (PBE, Alexandria).

Crystal structure
```
data_In2Pt3Au
_chemical_formula_sum 'In32 Pt48 Au16'
_symmetry_space_group_name_H-M 'F d d d'
_symmetry_Int_Tables_number 70
_cell_length_a 10.668
_cell_length_b 10.922
_cell_length_c 16.641
_cell_angle_alpha 90.00
_cell_angle_beta 90.00
_cell_angle_gamma 90.00
loop_
_symmetry_equiv_pos_as_xyz
'x,y,z'
'-x,-y,-z'
'-x+1/4,-y+1/4,z'
'x+1/4,y+1/4,-z'
'x,-y+1/4,-z+1/4'
'-x,y+1/4,z+1/4'
'-x+1/4,y,-z+1/4'
'x+1/4,-y,z+1/4'
'x,y+1/2,z+1/2'
'-x,-y+1/2,-z+1/2'
'-x+1/4,-y+3/4,z+1/2'
'x+1/4,y+3/4,-z+1/2'
'x,-y+3/4,-z+3/4'
'-x,y+3/4,z+3/4'
'-x+1/4,y+1/2,-z+3/4'
'x+1/4,-y+1/2,z+3/4'
'x+1/2,y,z+1/2'
'-x+1/2,-y,-z+1/2'
'-x+3/4,-y+1/4,z+1/2'
'x+3/4,y+1/4,-z+1/2'
'x+1/2,-y+1/4,-z+3/4'
'-x+1/2,y+1/4,z+3/4'
'-x+3/4,y,-z+3/4'
'x+3/4,-y,z+3/4'
'x+1/2,y+1/2,z'
'-x+1/2,-y+1/2,-z'
'-x+3/4,-y+3/4,z'
'x+3/4,y+3/4,-z'
'x+1/2,-y+3/4,-z+1/4'
'-x+1/2,y+3/4,z+1/4'
'-x+3/4,y+1/2,-z+1/4'
'x+3/4,-y+1/2,z+1/4'
loop_
_atom_site_label
_atom_site_type_symbol
_atom_site_fract_x
_atom_site_fract_y
_atom_site_fract_z
_atom_site_occupancy
In1 In 0.001 0.007 0.271 1
Pt1 Pt 0.000 0.000 0.500 1
Pt2 Pt 0.088 0.375 0.375 1
Pt3 Pt 0.125 0.125 0.385 1
Au1 Au 0.125 0.286 0.125 1
```

Principal peaks in the range 2θ from 10° to 90°, sorted by position:
2theta, I/Imax
19.78, 66
35.70, 46
37.57, 33
38.59, 66
39.47, 54
40.16, 100
43.52, 54
49.89, 35